Diffraction record for LiBi3PbWClO8. The powder diffraction line list is computed, not measured: it uses a cell relaxed with PBE+U and a wavelength of 1.5418 Å.
No peak broadening, texture or thermal motion is included.

Largest 10 diffraction maxima, by angle, 5 to 70 degrees two-theta:
d/Å, 2theta, I/Imax
14.993, 5.89, 10
4.998, 17.75, 9
3.848, 23.11, 10
3.516, 25.33, 16
3.114, 28.67, 100
2.815, 31.78, 45
2.053, 44.12, 12
1.991, 45.56, 24
1.869, 48.72, 12
1.677, 54.72, 34

Crystal structure
Unit cell a=3.982 b=3.982 c=14.993 alpha=90.00 beta=90.00 gamma=90.00
Fractional positions:
1 Li 0.000 0.000 0.000
2 Bi 0.000 0.000 0.816
3 Bi 0.500 0.500 0.039
4 Bi 0.500 0.500 0.308
5 Pb 0.000 0.000 0.475
6 W 0.500 0.500 0.680
7 Cl 0.000 0.000 0.170
8 O 0.000 0.500 0.380
9 O 0.000 0.500 0.704
10 O 0.000 0.500 0.971
11 O 0.500 0.000 0.380
12 O 0.500 0.000 0.704
13 O 0.500 0.000 0.971
14 O 0.500 0.500 0.558
15 O 0.500 0.500 0.817

***

Diffraction record for Li4Ni7P6O24. The powder diffraction line list is computed, not measured: it uses a cell relaxed with PBE+U and a wavelength of 1.5418 Å.
No peak broadening, texture or thermal motion is included.

Largest 10 diffraction maxima, by angle, 5 to 70 degrees two-theta:
d/Å, 2theta, I/Imax
6.957, 12.73, 30
6.207, 14.27, 100
4.632, 19.16, 11
3.676, 24.21, 27
2.834, 31.57, 21
2.765, 32.38, 64
2.687, 33.35, 13
2.634, 34.04, 52
2.355, 38.21, 13
1.657, 55.45, 14

Crystal structure
Unit cell a=8.767 b=8.767 c=6.413 alpha=98.79 beta=98.79 gamma=105.02
Fractional positions:
1 Li 0.000 0.000 0.000
2 Li 0.326 0.326 0.031
3 Li 0.522 0.805 0.006
4 Li 0.805 0.522 0.006
5 Ni 0.247 0.632 0.351
6 Ni 0.268 0.268 0.533
7 Ni 0.285 0.911 0.720
8 Ni 0.632 0.247 0.351
9 Ni 0.643 0.891 0.537
10 Ni 0.891 0.643 0.537
11 Ni 0.911 0.285 0.720
12 P 0.172 0.553 0.823
13 P 0.359 0.985 0.250
14 P 0.553 0.172 0.823
15 P 0.577 0.577 0.581
16 P 0.953 0.953 0.489
17 P 0.985 0.359 0.250
18 O 0.046 0.870 0.645
19 O 0.059 0.059 0.368
20 O 0.161 0.368 0.760
21 O 0.171 0.383 0.318
22 O 0.245 0.662 0.674
23 O 0.253 0.929 0.024
24 O 0.281 0.614 0.047
25 O 0.284 0.879 0.400
26 O 0.368 0.161 0.760
27 O 0.383 0.171 0.318
28 O 0.464 0.464 0.684
29 O 0.488 0.670 0.437
30 O 0.539 0.975 0.264
31 O 0.547 0.987 0.800
32 O 0.614 0.281 0.047
33 O 0.662 0.245 0.674
34 O 0.670 0.488 0.437
35 O 0.712 0.712 0.752
36 O 0.812 0.812 0.342
37 O 0.870 0.046 0.645
38 O 0.879 0.284 0.400
39 O 0.929 0.253 0.024
40 O 0.975 0.539 0.264
41 O 0.987 0.547 0.800

***

Diffraction record for MgMn2FeWO6. The powder diffraction line list is computed, not measured: it uses a cell relaxed with PBE+U and a wavelength of 1.5418 Å.
No peak broadening, texture or thermal motion is included.

Largest 10 diffraction maxima, by angle, 5 to 70 degrees two-theta:
d/Å, 2theta, I/Imax
4.827, 18.38, 47
4.529, 19.60, 49
4.388, 20.24, 56
3.065, 29.14, 100
2.783, 32.16, 51
2.676, 33.49, 37
2.643, 33.92, 39
2.557, 35.10, 42
2.529, 35.49, 35
2.286, 39.41, 57

Crystal structure
Unit cell a=5.392 b=5.561 c=5.665 alpha=99.57 beta=112.39 gamma=111.67
Fractional positions:
1 Mg 0.000 0.000 0.000
2 Mn 0.337 0.847 0.777
3 Mn 0.521 0.555 0.357
4 Fe 0.706 0.415 0.933
5 W 0.853 0.174 0.442
6 O 0.041 0.369 0.218
7 O 0.257 0.195 0.672
8 O 0.448 0.144 0.169
9 O 0.666 0.952 0.646
10 O 0.713 0.787 0.132
11 O 0.912 0.558 0.696

***

- Which formula does entry 3 have?
  MgMn2FeWO6

***

Copy entry 3 word for word.
Diffraction record for MgMn2FeWO6. The powder diffraction line list is computed, not measured: it uses a cell relaxed with PBE+U and a wavelength of 1.5418 Å.
No peak broadening, texture or thermal motion is included.

Largest 10 diffraction maxima, by angle, 5 to 70 degrees two-theta:
d/Å, 2theta, I/Imax
4.827, 18.38, 47
4.529, 19.60, 49
4.388, 20.24, 56
3.065, 29.14, 100
2.783, 32.16, 51
2.676, 33.49, 37
2.643, 33.92, 39
2.557, 35.10, 42
2.529, 35.49, 35
2.286, 39.41, 57

Crystal structure
Unit cell a=5.392 b=5.561 c=5.665 alpha=99.57 beta=112.39 gamma=111.67
Fractional positions:
1 Mg 0.000 0.000 0.000
2 Mn 0.337 0.847 0.777
3 Mn 0.521 0.555 0.357
4 Fe 0.706 0.415 0.933
5 W 0.853 0.174 0.442
6 O 0.041 0.369 0.218
7 O 0.257 0.195 0.672
8 O 0.448 0.144 0.169
9 O 0.666 0.952 0.646
10 O 0.713 0.787 0.132
11 O 0.912 0.558 0.696